This entry pairs a crystal structure of La2Tb3Nd7 with its theoretical X-ray diffraction stick pattern. Radiation: Cu Kα. Structure: a DFT-relaxed cell (PBE, Alexandria).
Kinematic intensities with the Lorentz-polarization factor, no thermal factor.

Top 6 peaks for 2θ = 10–80°, by angle:
d (Å)  I_rel
3.035  51
2.947  57
2.935  22
2.896  100
2.721  33
2.671  27

Structural model:
a = 19.6995 Å, b = 19.6995 Å, c = 3.6773 Å
α = 90.00°, β = 90.00°, γ = 162.79°
Element x y z (fractional)
La: 0.1487 0.8513 0.0000
La: 0.8513 0.1487 0.0000
Tb: 0.3140 0.6860 0.5000
Tb: 0.5000 0.5000 0.5000
Tb: 0.6860 0.3140 0.5000
Nd: 0.0000 0.0000 0.0000
Nd: 0.0715 0.9285 0.5000
Nd: 0.2314 0.7686 0.0000
Nd: 0.4102 0.5898 0.0000
Nd: 0.5898 0.4102 0.0000
Nd: 0.7686 0.2314 0.0000
Nd: 0.9285 0.0715 0.5000

***

This entry pairs a crystal structure of YTmCoAg with its theoretical X-ray diffraction stick pattern. Radiation: Cu Kα. Structure: a DFT-relaxed cell (PBE, Alexandria).
Kinematic intensities with the Lorentz-polarization factor, no thermal factor.

Top 6 peaks for 2θ = 10–80°, by angle:
d (Å)  I_rel
3.064  14
2.497  100
2.375  47
1.680  16
1.468  14
1.394  34

Structural model:
a = 3.3594 Å, b = 3.3594 Å, c = 7.4674 Å
α = 90.00°, β = 90.00°, γ = 90.00°
Element x y z (fractional)
Y: 0.0000 0.0000 0.0000
Tm: 0.0000 0.0000 0.5607
Co: 0.5000 0.5000 0.7734
Ag: 0.5000 0.5000 0.2885

***

This entry pairs a crystal structure of La2H3O with its theoretical X-ray diffraction stick pattern. Radiation: Cu Kα. Structure: a DFT-relaxed cell (PBE, Alexandria).
Kinematic intensities with the Lorentz-polarization factor, no thermal factor.

Top 6 peaks for 2θ = 10–80°, by angle:
d (Å)  I_rel
3.273  100
2.834  43
2.004  43
1.709  46
1.300  18
1.268  15

Structural model:
a = 5.6685 Å, b = 5.6685 Å, c = 5.6685 Å
α = 90.00°, β = 90.00°, γ = 90.00°
Element x y z (fractional)
La: 0.0000 0.0000 0.0000
La: 0.0000 0.5000 0.5000
La: 0.5000 0.0000 0.5000
La: 0.5000 0.5000 0.0000
H: 0.2500 0.2500 0.7500
H: 0.2500 0.7500 0.2500
H: 0.2500 0.7500 0.7500
H: 0.7500 0.2500 0.2500
H: 0.7500 0.2500 0.7500
H: 0.7500 0.7500 0.2500
O: 0.2500 0.2500 0.2500
O: 0.7500 0.7500 0.7500

***

This entry pairs a crystal structure of TaCdCu2 with its theoretical X-ray diffraction stick pattern. Radiation: Cu Kα. Structure: a DFT-relaxed cell (PBE, Alexandria).
Kinematic intensities with the Lorentz-polarization factor, no thermal factor.

Top 6 peaks for 2θ = 10–80°, by angle:
d (Å)  I_rel
2.929  24
2.608  21
2.381  100
2.326  23
2.201  91
2.033  73

Structural model:
a = 9.9568 Å, b = 2.7117 Å, c = 4.8632 Å
α = 90.00°, β = 106.94°, γ = 90.00°
Element x y z (fractional)
Ta: 0.0000 0.0000 0.0000
Ta: 0.5000 0.5000 0.0000
Cd: 0.2156 0.0000 0.6346
Cd: 0.7156 0.5000 0.6346
Cu: 0.2512 0.5000 0.1513
Cu: 0.4571 0.0000 0.4722
Cu: 0.7512 0.0000 0.1513
Cu: 0.9571 0.5000 0.4722